Np4Ga16Pt3: calculated powder diffraction line list (Cu Kα (weighted mean of Kα1 and Kα2)), based on DFT lattice parameters and positions (PBE).
No peak broadening, texture or thermal motion is included.

Cell and atoms:
a b c (Å): 6.2062 6.2062 11.1461
angles (deg): 90.00 90.00 90.00
Atoms (fractional coordinates):
Np: 0.0000 0.5000 0.1892
Np: 0.0000 0.5000 0.8108
Np: 0.5000 0.0000 0.1892
Np: 0.5000 0.0000 0.8108
Ga: 0.0000 0.0000 0.2007
Ga: 0.0000 0.0000 0.7993
Ga: 0.2110 0.2110 0.0000
Ga: 0.2110 0.7890 0.0000
Ga: 0.2472 0.2472 0.3740
Ga: 0.2472 0.2472 0.6260
Ga: 0.2472 0.7528 0.3740
Ga: 0.2472 0.7528 0.6260
Ga: 0.5000 0.5000 0.2282
Ga: 0.5000 0.5000 0.7718
Ga: 0.7528 0.2472 0.3740
Ga: 0.7528 0.2472 0.6260
Ga: 0.7528 0.7528 0.3740
Ga: 0.7528 0.7528 0.6260
Ga: 0.7890 0.2110 0.0000
Ga: 0.7890 0.7890 0.0000
Pt: 0.0000 0.5000 0.5000
Pt: 0.5000 0.0000 0.5000
Pt: 0.5000 0.5000 0.0000

Largest 10 diffraction maxima, low angle first, 2θ from 10° to 90°:
index	2θ (°)	d_spacing	Rel. int.
1 1 0	20.24	4.388	42
2 0 0	28.77	3.103	25
1 1 3	31.55	2.836	71
2 0 3	37.77	2.382	100
2 2 0	41.14	2.194	75
2 0 4	43.66	2.073	23
3 1 3	52.75	1.735	32
2 2 5	59.07	1.564	18
4 0 0	59.59	1.552	24
4 2 3	72.74	1.300	26